No. 1
Nb5GaSn: simulated powder XRD pattern (λ = 1.5418 Å (Cu Kα)), based on DFT lattice parameters and positions (GGA-PBE).
Kinematic intensities with the Lorentz-polarization factor, no thermal factor.

Structural model:
```
data_Nb5GaSn
_cell_length_a 6.813
_cell_length_b 8.270
_cell_length_c 9.837
_cell_angle_alpha 90.00
_cell_angle_beta 104.92
_cell_angle_gamma 90.00
_symmetry_space_group_name_H-M 'C 1 2/c 1'
_symmetry_Int_Tables_number 15
loop_
_symmetry_equiv_pos_as_xyz
'x,y,z'
'-x,-y,-z'
'-x,y,-z+1/2'
'x,-y,z+1/2'
'x+1/2,y+1/2,z'
'-x+1/2,-y+1/2,-z'
'-x+1/2,y+1/2,-z+1/2'
'x+1/2,-y+1/2,z+1/2'
loop_
_atom_site_label
_atom_site_type_symbol
_atom_site_fract_x
_atom_site_fract_y
_atom_site_fract_z
Nb1 Nb 0.000 0.120 0.250
Nb2 Nb 0.101 0.444 0.151
Nb3 Nb 0.191 0.090 0.043
Ga1 Ga 0.250 0.250 0.500
Sn1 Sn 0.000 0.231 0.750
```

Main lines, by angle (2θ from 5° to 70°):
- hkl 2 2 -2, 36.17°, intensity 24
- hkl 2 0 2, 37.01°, intensity 61
- hkl 1 3 1, 37.51°, intensity 100
- hkl 1 1 -4, 38.39°, intensity 45
- hkl 2 2 -3, 40.44°, intensity 28
- hkl 3 1 -2, 42.11°, intensity 34
- hkl 0 2 4, 43.95°, intensity 12
- hkl 0 2 5, 53.01°, intensity 12
- hkl 2 4 -3, 56.46°, intensity 13
- hkl 3 3 3, 67.03°, intensity 18



No. 2
Y2Sc2Sn2N: simulated powder XRD pattern (λ = 1.5418 Å (Cu Kα)), based on DFT lattice parameters and positions (GGA-PBE).
Kinematic intensities with the Lorentz-polarization factor, no thermal factor.

Structural model:
```
data_Y2Sc2Sn2N
_cell_length_a 4.450
_cell_length_b 4.450
_cell_length_c 15.870
_cell_angle_alpha 90.00
_cell_angle_beta 90.00
_cell_angle_gamma 90.00
_symmetry_space_group_name_H-M 'I 4/m m m'
_symmetry_Int_Tables_number 139
_symmetry_space_group_name_Hall '-I 4 2'
loop_
_atom_site_label
_atom_site_type_symbol
_atom_site_fract_x
_atom_site_fract_y
_atom_site_fract_z
Y1 Y 0.000 0.000 0.161
Sc1 Sc 0.000 0.500 0.000
Sn1 Sn 0.000 0.000 0.363
N1 N 0.000 0.000 0.000
```

Main lines, by angle (2θ from 5° to 70°):
- hkl 0 0 4, 22.41°, intensity 27
- hkl 1 1 0, 28.37°, intensity 66
- hkl 1 1 2, 30.56°, intensity 33
- hkl 0 0 6, 33.89°, intensity 25
- hkl 1 0 5, 34.72°, intensity 19
- hkl 1 1 4, 36.45°, intensity 100
- hkl 2 0 0, 40.55°, intensity 58
- hkl 2 0 4, 46.81°, intensity 17
- hkl 2 0 6, 53.85°, intensity 26
- hkl 2 2 0, 58.69°, intensity 19



No. 3
Ta2Ti2Os: simulated powder XRD pattern (λ = 1.5418 Å (Cu Kα)), based on DFT lattice parameters and positions (GGA-PBE).
Kinematic intensities with the Lorentz-polarization factor, no thermal factor.

Structural model:
```
data_Ta2Ti2Os
_cell_length_a 5.588
_cell_length_b 8.497
_cell_length_c 7.952
_cell_angle_alpha 90.00
_cell_angle_beta 108.16
_cell_angle_gamma 90.00
_symmetry_space_group_name_H-M 'C 1 2/m 1'
_symmetry_Int_Tables_number 12
loop_
_symmetry_equiv_pos_as_xyz
'x,y,z'
'-x,-y,-z'
'-x,y,-z'
'x,-y,z'
'x+1/2,y+1/2,z'
'-x+1/2,-y+1/2,-z'
'-x+1/2,y+1/2,-z'
'x+1/2,-y+1/2,z'
loop_
_atom_site_label
_atom_site_type_symbol
_atom_site_fract_x
_atom_site_fract_y
_atom_site_fract_z
Ta1 Ta 0.195 0.000 0.369
Ta2 Ta 0.239 0.000 0.017
Ti1 Ti 0.119 0.321 0.219
Os1 Os 0.000 0.244 0.500
```

Main lines, by angle (2θ from 5° to 70°):
- hkl 0 0 1, 11.71°, intensity 45
- hkl 0 0 2, 23.55°, intensity 50
- hkl 0 2 1, 24.03°, intensity 78
- hkl 1 1 -3, 35.96°, intensity 41
- hkl 2 0 1, 39.32°, intensity 41
- hkl 2 2 0, 40.05°, intensity 100
- hkl 2 2 -2, 40.88°, intensity 83
- hkl 2 0 -3, 40.99°, intensity 40
- hkl 0 2 3, 41.69°, intensity 98
- hkl 0 4 0, 42.56°, intensity 45



No. 4
InPb6Au4: simulated powder XRD pattern (λ = 1.5418 Å (Cu Kα)), based on DFT lattice parameters and positions (GGA-PBE).
Kinematic intensities with the Lorentz-polarization factor, no thermal factor.

Structural model:
```
data_InPb6Au4
_cell_length_a 9.9350
_cell_length_b 9.9350
_cell_length_c 7.1969
_cell_angle_alpha 90.00
_cell_angle_beta 90.00
_cell_angle_gamma 120.00
_symmetry_space_group_name_H-M 'P 63 m c'
_symmetry_Int_Tables_number 186
_symmetry_space_group_name_Hall 'P 6c -2c'
loop_
_atom_site_label
_atom_site_type_symbol
_atom_site_fract_x
_atom_site_fract_y
_atom_site_fract_z
In1 In 0.3333 0.6667 0.0000
Pb1 Pb 0.0651 0.5325 0.3611
Pb2 Pb 0.1497 0.2994 0.6781
Au1 Au 0.1764 0.3529 0.0900
Au2 Au 0.3333 0.6667 0.6214
```

Main lines, by angle (2θ from 5° to 70°):
- hkl 1 0 2, 26.86°, intensity 14
- hkl 2 1 1, 30.16°, intensity 53
- hkl 2 0 2, 32.44°, intensity 100
- hkl 3 0 1, 33.64°, intensity 19
- hkl 2 2 0, 36.16°, intensity 95
- hkl 2 0 3, 43.18°, intensity 22
- hkl 2 2 2, 44.31°, intensity 22
- hkl 4 0 2, 49.36°, intensity 18
- hkl 5 0 1, 54.86°, intensity 15
- hkl 3 2 3, 60.77°, intensity 16



No. 5
Pm4Ir2N: simulated powder XRD pattern (λ = 1.5418 Å (Cu Kα)), based on DFT lattice parameters and positions (GGA-PBE).
Kinematic intensities with the Lorentz-polarization factor, no thermal factor.

Structural model:
```
data_Pm4Ir2N
_cell_length_a 12.729
_cell_length_b 3.777
_cell_length_c 8.097
_cell_angle_alpha 90.00
_cell_angle_beta 124.19
_cell_angle_gamma 90.00
_symmetry_space_group_name_H-M 'C 1 2/m 1'
_symmetry_Int_Tables_number 12
loop_
_symmetry_equiv_pos_as_xyz
'x,y,z'
'-x,-y,-z'
'-x,y,-z'
'x,-y,z'
'x+1/2,y+1/2,z'
'-x+1/2,-y+1/2,-z'
'-x+1/2,y+1/2,-z'
'x+1/2,-y+1/2,z'
loop_
_atom_site_label
_atom_site_type_symbol
_atom_site_fract_x
_atom_site_fract_y
_atom_site_fract_z
Pm1 Pm 0.075 0.000 0.360
Pm2 Pm 0.160 0.500 0.069
Ir1 Ir 0.121 0.500 0.686
N1 N 0.000 0.000 0.000
```

Main lines, by angle (2θ from 5° to 70°):
- hkl 2 0 -1, 14.42°, intensity 59
- hkl 1 1 1, 30.63°, intensity 52
- hkl 3 1 -1, 31.73°, intensity 100
- hkl 1 1 -2, 33.09°, intensity 48
- hkl 2 0 -3, 33.67°, intensity 47
- hkl 4 0 0, 34.09°, intensity 97
- hkl 3 1 0, 34.90°, intensity 72
- hkl 0 0 3, 40.38°, intensity 76
- hkl 6 0 -1, 45.48°, intensity 35
- hkl 0 2 0, 48.18°, intensity 39



No. 6
Sr2In2Sn3: simulated powder XRD pattern (λ = 1.5418 Å (Cu Kα)), based on DFT lattice parameters and positions (GGA-PBE).
Kinematic intensities with the Lorentz-polarization factor, no thermal factor.

Structural model:
```
data_Sr2In2Sn3
_cell_length_a 12.308
_cell_length_b 4.689
_cell_length_c 7.822
_cell_angle_alpha 90.00
_cell_angle_beta 107.14
_cell_angle_gamma 90.00
_symmetry_space_group_name_H-M 'C 1 2/m 1'
_symmetry_Int_Tables_number 12
loop_
_symmetry_equiv_pos_as_xyz
'x,y,z'
'-x,-y,-z'
'-x,y,-z'
'x,-y,z'
'x+1/2,y+1/2,z'
'-x+1/2,-y+1/2,-z'
'-x+1/2,y+1/2,-z'
'x+1/2,-y+1/2,z'
loop_
_atom_site_label
_atom_site_type_symbol
_atom_site_fract_x
_atom_site_fract_y
_atom_site_fract_z
Sr1 Sr 0.131 0.000 0.278
In1 In 0.165 0.000 0.738
Sn1 Sn 0.000 0.500 0.500
Sn2 Sn 0.104 0.500 0.938
```

Main lines, by angle (2θ from 5° to 70°):
- hkl 3 1 -1, 29.40°, intensity 61
- hkl 3 1 0, 29.73°, intensity 100
- hkl 4 0 0, 30.40°, intensity 22
- hkl 2 0 2, 31.93°, intensity 31
- hkl 1 1 2, 33.25°, intensity 77
- hkl 3 1 -2, 33.77°, intensity 41
- hkl 0 2 0, 38.39°, intensity 47
- hkl 4 0 -3, 39.94°, intensity 25
- hkl 5 1 -1, 41.45°, intensity 24
- hkl 4 2 -3, 56.58°, intensity 32



No. 7
Ac2PaFe2N6: simulated powder XRD pattern (λ = 1.5418 Å (Cu Kα)), based on DFT lattice parameters and positions (GGA-PBE).
Kinematic intensities with the Lorentz-polarization factor, no thermal factor.

Structural model:
```
data_Ac2PaFe2N6
_cell_length_a 5.8231
_cell_length_b 5.8231
_cell_length_c 17.7505
_cell_angle_alpha 90.00
_cell_angle_beta 90.00
_cell_angle_gamma 120.00
_symmetry_space_group_name_H-M 'R -3 m'
_symmetry_Int_Tables_number 166
_symmetry_space_group_name_Hall '-R 3 2"'
loop_
_atom_site_label
_atom_site_type_symbol
_atom_site_fract_x
_atom_site_fract_y
_atom_site_fract_z
Ac1 Ac 0.0000 0.0000 0.2146
Pa1 Pa 0.0000 0.0000 0.0000
Fe1 Fe 0.0000 0.0000 0.4091
N1 N 0.0090 0.5045 0.7553
```

Main lines, by angle (2θ from 5° to 70°):
- hkl 1 0 1, 18.29°, intensity 15
- hkl 1 0 4, 26.76°, intensity 20
- hkl 1 1 0, 30.75°, intensity 100
- hkl 0 2 4, 41.18°, intensity 10
- hkl 2 0 5, 44.05°, intensity 19
- hkl 2 1 4, 52.23°, intensity 7
- hkl 3 0 0, 54.63°, intensity 31
- hkl 1 0 10, 54.83°, intensity 7
- hkl 1 1 9, 56.34°, intensity 11
- hkl 2 2 0, 63.95°, intensity 8



No. 8
Pm12Pr2Sc: simulated powder XRD pattern (λ = 1.5418 Å (Cu Kα)), based on DFT lattice parameters and positions (GGA-PBE).
Kinematic intensities with the Lorentz-polarization factor, no thermal factor.

Structural model:
```
data_Pm12Pr2Sc
_cell_length_a 6.591
_cell_length_b 6.591
_cell_length_c 25.048
_cell_angle_alpha 90.00
_cell_angle_beta 90.00
_cell_angle_gamma 90.00
_symmetry_space_group_name_H-M 'P 4/n b m'
_symmetry_Int_Tables_number 125
loop_
_symmetry_equiv_pos_as_xyz
'x,y,z'
'-x,-y,-z'
'-y+1/2,x,z'
'y+1/2,-x,-z'
'-x+1/2,-y+1/2,z'
'x+1/2,y+1/2,-z'
'y,-x+1/2,z'
'-y,x+1/2,-z'
'x,-y+1/2,-z'
'-x,y+1/2,z'
'-y+1/2,-x+1/2,-z'
'y+1/2,x+1/2,z'
'-x+1/2,y,-z'
'x+1/2,-y,z'
'y,x,-z'
'-y,-x,z'
loop_
_atom_site_label
_atom_site_type_symbol
_atom_site_fract_x
_atom_site_fract_y
_atom_site_fract_z
Pm1 Pm 0.061 0.561 0.107
Pm2 Pm 0.083 0.583 0.563
Pm3 Pm 0.250 0.250 0.210
Pm4 Pm 0.250 0.250 0.336
Pr1 Pr 0.250 0.750 0.263
Sc1 Sc 0.250 0.750 0.000
```

Main lines, by angle (2θ from 5° to 70°):
- hkl 2 0 2, 28.00°, intensity 100
- hkl 1 1 6, 28.71°, intensity 43
- hkl 2 0 4, 30.66°, intensity 43
- hkl 2 1 2, 31.17°, intensity 80
- hkl 1 1 7, 31.52°, intensity 53
- hkl 0 0 9, 32.16°, intensity 45
- hkl 2 1 4, 33.61°, intensity 52
- hkl 2 2 0, 38.64°, intensity 45
- hkl 2 1 11, 50.66°, intensity 32
- hkl 3 1 9, 55.04°, intensity 46



No. 9
CsBaUS4: simulated powder XRD pattern (λ = 1.5418 Å (Cu Kα)), based on DFT lattice parameters and positions (GGA-PBE).
Kinematic intensities with the Lorentz-polarization factor, no thermal factor.

Structural model:
```
data_CsBaUS4
_cell_length_a 5.255
_cell_length_b 5.255
_cell_length_c 16.371
_cell_angle_alpha 90.00
_cell_angle_beta 90.00
_cell_angle_gamma 90.00
_symmetry_space_group_name_H-M 'I 4 m m'
_symmetry_Int_Tables_number 107
_symmetry_space_group_name_Hall 'I 4 -2'
loop_
_atom_site_label
_atom_site_type_symbol
_atom_site_fract_x
_atom_site_fract_y
_atom_site_fract_z
Cs1 Cs 0.000 0.000 0.000
Ba1 Ba 0.000 0.000 0.716
U1 U 0.000 0.000 0.357
S1 S 0.000 0.000 0.201
S2 S 0.000 0.000 0.513
S3 S 0.000 0.500 0.346
```

Main lines, by angle (2θ from 5° to 70°):
- hkl 0 0 2, 10.81°, intensity 43
- hkl 1 0 3, 23.50°, intensity 100
- hkl 1 1 0, 23.95°, intensity 75
- hkl 1 0 5, 32.21°, intensity 28
- hkl 0 0 6, 32.82°, intensity 18
- hkl 2 0 0, 34.12°, intensity 49
- hkl 1 1 6, 41.04°, intensity 23
- hkl 2 1 3, 41.85°, intensity 46
- hkl 2 1 5, 47.63°, intensity 19
- hkl 2 0 6, 48.07°, intensity 24



Please write out number 6 again, unchanged.
Sr2In2Sn3: simulated powder XRD pattern (λ = 1.5418 Å (Cu Kα)), based on DFT lattice parameters and positions (GGA-PBE).
Kinematic intensities with the Lorentz-polarization factor, no thermal factor.

Structural model:
```
data_Sr2In2Sn3
_cell_length_a 12.308
_cell_length_b 4.689
_cell_length_c 7.822
_cell_angle_alpha 90.00
_cell_angle_beta 107.14
_cell_angle_gamma 90.00
_symmetry_space_group_name_H-M 'C 1 2/m 1'
_symmetry_Int_Tables_number 12
loop_
_symmetry_equiv_pos_as_xyz
'x,y,z'
'-x,-y,-z'
'-x,y,-z'
'x,-y,z'
'x+1/2,y+1/2,z'
'-x+1/2,-y+1/2,-z'
'-x+1/2,y+1/2,-z'
'x+1/2,-y+1/2,z'
loop_
_atom_site_label
_atom_site_type_symbol
_atom_site_fract_x
_atom_site_fract_y
_atom_site_fract_z
Sr1 Sr 0.131 0.000 0.278
In1 In 0.165 0.000 0.738
Sn1 Sn 0.000 0.500 0.500
Sn2 Sn 0.104 0.500 0.938
```

Main lines, by angle (2θ from 5° to 70°):
- hkl 3 1 -1, 29.40°, intensity 61
- hkl 3 1 0, 29.73°, intensity 100
- hkl 4 0 0, 30.40°, intensity 22
- hkl 2 0 2, 31.93°, intensity 31
- hkl 1 1 2, 33.25°, intensity 77
- hkl 3 1 -2, 33.77°, intensity 41
- hkl 0 2 0, 38.39°, intensity 47
- hkl 4 0 -3, 39.94°, intensity 25
- hkl 5 1 -1, 41.45°, intensity 24
- hkl 4 2 -3, 56.58°, intensity 32



What is the formula in the ninth record? CsBaUS4